For Sr3Au, DFT lattice parameters and positions (PBE) gives the theoretical X-ray powder pattern in this record (Cu Kα (weighted mean of Kα1 and Kα2)).
Intensities are scaled so that the largest is 100.

Principal peaks in the range 2θ from 10° to 90°, sorted by position:
hkl, d/Å, 2θ (°), Rel. int.
2 0 1, 4.836, 18.35, 78.2
1 1 2, 3.261, 27.34, 62.4
4 2 0, 3.013, 29.65, 100.0
1 4 1, 2.958, 30.22, 61.0
2 2 2, 2.806, 31.90, 44.3
3 1 2, 2.692, 33.29, 95.2
1 5 0, 2.644, 33.91, 53.2
5 1 1, 2.471, 36.36, 47.7

a = 13.481 Å, b = 13.481 Å, c = 6.942 Å
α = 90.00°, β = 90.00°, γ = 90.00°
Space group P4_2/n (No. 86, origin choice 2)
Unique sites:
Sr1 0.031 0.919 0.220 (multiplicity 8)
Sr2 0.117 0.292 0.018 (multiplicity 8)
Sr3 0.130 0.834 0.712 (multiplicity 8)
Au1 0.046 0.304 0.536 (multiplicity 8)

***

For Sr5Au6, DFT lattice parameters and positions (PBE) gives the theoretical X-ray powder pattern in this record (Cu Kα (weighted mean of Kα1 and Kα2)).
Intensities are scaled so that the largest is 100.

Principal peaks in the range 2θ from 10° to 90°, sorted by position:
hkl, d/Å, 2θ (°), Rel. int.
0 1 1, 6.994, 12.66, 10.6
1 0 3, 3.819, 23.29, 24.0
2 0 0, 2.724, 32.88, 100.0
0 0 6, 2.677, 33.47, 17.4
1 3 2, 2.246, 40.15, 14.3
2 0 6, 1.910, 47.62, 13.1
3 2 3, 1.573, 58.71, 17.2
1 3 8, 1.524, 60.79, 8.9

a = 5.449 Å, b = 7.769 Å, c = 16.064 Å
α = 90.00°, β = 90.00°, γ = 90.00°
Space group Immm (No. 71)
Unique sites:
Sr1 0.000 0.000 0.000 (multiplicity 2)
Sr2 0.000 0.000 0.363 (multiplicity 4)
Sr3 0.000 0.500 0.322 (multiplicity 4)
Au1 0.000 0.215 0.181 (multiplicity 8)
Au2 0.000 0.301 0.500 (multiplicity 4)

***

For SrTaAu, DFT lattice parameters and positions (PBE) gives the theoretical X-ray powder pattern in this record (Cu Kα (weighted mean of Kα1 and Kα2)).
Intensities are scaled so that the largest is 100.

Principal peaks in the range 2θ from 10° to 90°, sorted by position:
hkl, d/Å, 2θ (°), Rel. int.
0 2 0, 6.057, 14.63, 100.0
1 3 0, 3.069, 29.10, 24.7
1 3 1, 2.663, 33.65, 68.4
0 4 1, 2.637, 34.00, 37.2
2 0 0, 2.362, 38.10, 40.6
1 1 2, 2.289, 39.36, 99.4
2 4 1, 1.759, 51.98, 22.5
1 7 0, 1.625, 56.65, 25.4

a = 4.723 Å, b = 12.113 Å, c = 5.361 Å
α = 90.00°, β = 90.00°, γ = 90.00°
Space group Cmcm (No. 63)
Unique sites:
Sr1 0.000 0.211 0.250 (multiplicity 4)
Ta1 0.000 0.500 0.000 (multiplicity 4)
Au1 0.000 0.068 0.750 (multiplicity 4)

***

For SrTe3Au3, DFT lattice parameters and positions (PBE) gives the theoretical X-ray powder pattern in this record (Cu Kα (weighted mean of Kα1 and Kα2)).
Intensities are scaled so that the largest is 100.

Principal peaks in the range 2θ from 10° to 90°, sorted by position:
hkl, d/Å, 2θ (°), Rel. int.
1 1 0, 5.477, 16.18, 59.2
2 0 0, 3.873, 22.97, 41.5
2 1 1, 3.162, 28.22, 100.0
2 2 2, 2.236, 40.34, 59.0
3 2 1, 2.070, 43.73, 61.4
4 0 0, 1.936, 46.92, 41.4
4 4 0, 1.369, 68.53, 26.8
6 2 2, 1.168, 82.64, 22.9

a = 7.745 Å, b = 7.745 Å, c = 7.745 Å
α = 90.00°, β = 90.00°, γ = 90.00°
Space group Pm-3n (No. 223)
Unique sites:
Sr1 0.000 0.000 0.000 (multiplicity 2)
Te1 0.000 0.250 0.500 (multiplicity 6)
Au1 0.000 0.500 0.250 (multiplicity 6)